Computed X-ray diffraction stick pattern
Compound: RbMoOsO6
Radiation: copper Kα
Structure: a structure optimized by DFT (GGA+U)
Kinematic intensities with the Lorentz-polarization factor, no thermal factor.

Atomic structure:
Unit cell a=7.328 b=7.328 c=7.328 alpha=120.80 beta=119.48 gamma=89.76
Fractional coordinates of all 18 atoms:
Rb (0.369, 0.119, 0.250)
Rb (0.631, 0.881, 0.750)
Mo (0.000, 0.500, 0.500)
Mo (0.500, 0.500, 0.000)
Os (0.000, 0.000, 0.500)
Os (0.000, 0.500, 0.000)
O (0.057, 0.432, 0.245)
O (0.057, 0.812, 0.626)
O (0.063, 0.813, 0.250)
O (0.313, 0.188, 0.745)
O (0.313, 0.568, 0.126)
O (0.315, 0.565, 0.750)
O (0.685, 0.435, 0.250)
O (0.687, 0.432, 0.874)
O (0.687, 0.812, 0.255)
O (0.937, 0.187, 0.750)
O (0.943, 0.188, 0.374)
O (0.943, 0.568, 0.755)

Principal peaks in the range 2θ = 10–90°, low angle first:
2theta	I/Imax
14.7	95
28.5	100
28.6	20
28.8	100
29.7	58
30.1	60
45.2	24
45.4	33
49.8	56
58.9	43